# BaTlBrO
Computed powder X-ray diffraction pattern, Cu Kα, 1.54184 Å. Input: a crystal structure in Alexandria, relaxed with GGA-PBE.
Intensities are scaled so that the largest is 100.

Cell and atoms:
```
data_BaTlBrO
_chemical_formula_sum 'Ba1 Tl1 Br1 O1'
_cell_length_a 4.3268
_cell_length_b 4.3268
_cell_length_c 8.0313
_cell_angle_alpha 90.00
_cell_angle_beta 90.00
_cell_angle_gamma 120.00
_symmetry_space_group_name_H-M 'P 1'
_symmetry_Int_Tables_number 1
loop_
_symmetry_equiv_pos_as_xyz
'x,y,z'
loop_
_atom_site_label
_atom_site_type_symbol
_atom_site_fract_x
_atom_site_fract_y
_atom_site_fract_z
Ba1 Ba 0.0000 0.0000 0.0000
Tl1 Tl 0.6667 0.3333 0.5877
Br1 Br 0.3333 0.6667 0.2844
O1 O 0.6667 0.3333 0.8796
```

The 10 most intense peaks (2θ = 15–90°), by angle:
2θ 26.2, 3.396 Å, intensity 100.0
2θ 32.7, 2.740 Å, intensity 42.4
2θ 33.5, 2.677 Å, intensity 10.8
2θ 41.5, 2.178 Å, intensity 15.3
2θ 41.8, 2.163 Å, intensity 29.0
2θ 50.0, 1.825 Å, intensity 17.3
2θ 51.6, 1.770 Å, intensity 12.8
2θ 54.0, 1.698 Å, intensity 10.4
2θ 54.5, 1.683 Å, intensity 16.1
2θ 67.1, 1.395 Å, intensity 14.5



# Ba4PBr4
Computed powder X-ray diffraction pattern, Cu Kα, 1.54184 Å. Input: a crystal structure in Alexandria, relaxed with GGA-PBE.
Intensities are scaled so that the largest is 100.

Cell and atoms:
```
data_Ba4PBr4
_chemical_formula_sum 'Ba4 P1 Br4'
_cell_length_a 8.2540
_cell_length_b 8.2540
_cell_length_c 11.7562
_cell_angle_alpha 119.51
_cell_angle_beta 119.51
_cell_angle_gamma 33.25
_symmetry_space_group_name_H-M 'P 1'
_symmetry_Int_Tables_number 1
loop_
_symmetry_equiv_pos_as_xyz
'x,y,z'
loop_
_atom_site_label
_atom_site_type_symbol
_atom_site_fract_x
_atom_site_fract_y
_atom_site_fract_z
Ba1 Ba 0.0841 0.0841 0.4034
Ba2 Ba 0.3047 0.3047 0.2207
Ba3 Ba 0.6953 0.6953 0.7793
Ba4 Ba 0.9159 0.9159 0.5966
P1 P 0.5000 0.5000 0.5000
Br1 Br 0.1160 0.1160 0.8986
Br2 Br 0.3023 0.3023 0.6935
Br3 Br 0.6977 0.6977 0.3065
Br4 Br 0.8840 0.8840 0.1014
```

The 10 most intense peaks (2θ = 15–90°), by angle:
2θ 26.4, 3.372 Å, intensity 100.0
2θ 26.9, 3.313 Å, intensity 48.8
2θ 37.4, 2.407 Å, intensity 16.1
2θ 37.9, 2.373 Å, intensity 37.5
2θ 38.1, 2.362 Å, intensity 19.9
2θ 38.3, 2.353 Å, intensity 34.6
2θ 47.3, 1.923 Å, intensity 20.3
2θ 54.4, 1.686 Å, intensity 10.6
2θ 62.0, 1.497 Å, intensity 15.5
2θ 69.3, 1.357 Å, intensity 9.5



# Ba2P7Br
Computed powder X-ray diffraction pattern, Cu Kα, 1.54184 Å. Input: a crystal structure in Alexandria, relaxed with GGA-PBE.
Intensities are scaled so that the largest is 100.

Cell and atoms:
```
data_Ba2P7Br
_chemical_formula_sum 'Ba4 P14 Br2'
_cell_length_a 6.3976
_cell_length_b 6.9621
_cell_length_c 12.0600
_cell_angle_alpha 90.00
_cell_angle_beta 95.66
_cell_angle_gamma 90.00
_symmetry_space_group_name_H-M 'P 1'
_symmetry_Int_Tables_number 1
loop_
_symmetry_equiv_pos_as_xyz
'x,y,z'
loop_
_atom_site_label
_atom_site_type_symbol
_atom_site_fract_x
_atom_site_fract_y
_atom_site_fract_z
Ba1 Ba 0.0702 0.2500 0.3524
Ba2 Ba 0.2865 0.2500 0.9541
Ba3 Ba 0.7135 0.7500 0.0459
Ba4 Ba 0.9298 0.7500 0.6476
P1 P 0.1689 0.7500 0.2227
P2 P 0.1699 0.7500 0.4048
P3 P 0.3599 0.0813 0.6891
P4 P 0.3599 0.4187 0.6891
P5 P 0.3735 0.5065 0.1959
P6 P 0.3735 0.9935 0.1959
P7 P 0.4935 0.2500 0.5541
P8 P 0.5065 0.7500 0.4459
P9 P 0.6265 0.0065 0.8041
P10 P 0.6265 0.4935 0.8041
P11 P 0.6401 0.5813 0.3110
P12 P 0.6401 0.9187 0.3110
P13 P 0.8301 0.2500 0.5952
P14 P 0.8311 0.2500 0.7773
Br1 Br 0.1506 0.7500 0.9130
Br2 Br 0.8494 0.2500 0.0870
```

The 10 most intense peaks (2θ = 15–90°), by angle:
2θ 20.8, 4.271 Å, intensity 55.5
2θ 25.6, 3.481 Å, intensity 65.1
2θ 29.2, 3.054 Å, intensity 31.5
2θ 29.7, 3.007 Å, intensity 60.0
2θ 30.4, 2.939 Å, intensity 100.0
2θ 31.1, 2.874 Å, intensity 44.4
2θ 31.7, 2.824 Å, intensity 56.6
2θ 32.3, 2.776 Å, intensity 78.4
2θ 39.6, 2.275 Å, intensity 41.8
2θ 48.7, 1.870 Å, intensity 31.7



# BaSrPBr
Computed powder X-ray diffraction pattern, Cu Kα, 1.54184 Å. Input: a crystal structure in Alexandria, relaxed with GGA-PBE.
Intensities are scaled so that the largest is 100.

Cell and atoms:
```
data_BaSrPBr
_chemical_formula_sum 'Ba3 Sr3 P3 Br3'
_cell_length_a 4.5843
_cell_length_b 4.5843
_cell_length_c 23.3002
_cell_angle_alpha 90.00
_cell_angle_beta 90.00
_cell_angle_gamma 120.00
_symmetry_space_group_name_H-M 'P 1'
_symmetry_Int_Tables_number 1
loop_
_symmetry_equiv_pos_as_xyz
'x,y,z'
loop_
_atom_site_label
_atom_site_type_symbol
_atom_site_fract_x
_atom_site_fract_y
_atom_site_fract_z
Ba1 Ba 0.0000 0.0000 0.0000
Ba2 Ba 0.3333 0.6667 0.6667
Ba3 Ba 0.6667 0.3333 0.3333
Sr1 Sr 0.0000 0.0000 0.5271
Sr2 Sr 0.3333 0.6667 0.1938
Sr3 Sr 0.6667 0.3333 0.8605
P1 P 0.0000 0.0000 0.2593
P2 P 0.3333 0.6667 0.9260
P3 P 0.6667 0.3333 0.5927
Br1 Br 0.0000 0.0000 0.7689
Br2 Br 0.3333 0.6667 0.4355
Br3 Br 0.6667 0.3333 0.1022
```

The 10 most intense peaks (2θ = 15–90°), by angle:
2θ 22.7, 3.914 Å, intensity 10.5
2θ 23.7, 3.758 Å, intensity 14.3
2θ 27.2, 3.281 Å, intensity 100.0
2θ 29.6, 3.022 Å, intensity 18.1
2θ 38.3, 2.348 Å, intensity 30.2
2θ 39.3, 2.292 Å, intensity 39.7
2θ 48.4, 1.879 Å, intensity 19.7
2θ 53.4, 1.716 Å, intensity 13.1
2θ 64.1, 1.453 Å, intensity 17.0
2θ 70.6, 1.334 Å, intensity 9.8



# Ba4Te2PBr
Computed powder X-ray diffraction pattern, Cu Kα, 1.54184 Å. Input: a crystal structure in Alexandria, relaxed with GGA-PBE.
Intensities are scaled so that the largest is 100.

Cell and atoms:
```
data_Ba4Te2PBr
_chemical_formula_sum 'Ba4 Te2 P1 Br1'
_cell_length_a 8.4187
_cell_length_b 4.8750
_cell_length_c 8.4596
_cell_angle_alpha 90.00
_cell_angle_beta 108.80
_cell_angle_gamma 90.00
_symmetry_space_group_name_H-M 'P 1'
_symmetry_Int_Tables_number 1
loop_
_symmetry_equiv_pos_as_xyz
'x,y,z'
loop_
_atom_site_label
_atom_site_type_symbol
_atom_site_fract_x
_atom_site_fract_y
_atom_site_fract_z
Ba1 Ba 0.2312 0.0000 0.2300
Ba2 Ba 0.2411 0.5000 0.7697
Ba3 Ba 0.7589 0.5000 0.2303
Ba4 Ba 0.7688 0.0000 0.7700
Te1 Te 0.5000 0.0000 0.0000
Te2 Te 0.5000 0.5000 0.5000
P1 P 0.0000 0.5000 0.0000
Br1 Br 0.0000 0.0000 0.5000
```

The 10 most intense peaks (2θ = 15–90°), by angle:
2θ 25.7, 3.460 Å, intensity 100.0
2θ 26.0, 3.431 Å, intensity 48.0
2θ 36.6, 2.456 Å, intensity 18.6
2θ 36.8, 2.440 Å, intensity 56.1
2θ 37.0, 2.432 Å, intensity 37.4
2θ 45.5, 1.992 Å, intensity 9.9
2θ 45.7, 1.987 Å, intensity 20.4
2θ 52.9, 1.730 Å, intensity 12.7
2θ 60.0, 1.543 Å, intensity 17.8
2θ 66.4, 1.407 Å, intensity 13.0



# BaPaTl2Br8
Computed powder X-ray diffraction pattern, Cu Kα, 1.54184 Å. Input: a crystal structure in Alexandria, relaxed with GGA-PBE.
Intensities are scaled so that the largest is 100.

Cell and atoms:
```
data_BaPaTl2Br8
_chemical_formula_sum 'Ba1 Pa1 Tl2 Br8'
_cell_length_a 7.4195
_cell_length_b 9.5159
_cell_length_c 7.5239
_cell_angle_alpha 90.00
_cell_angle_beta 92.02
_cell_angle_gamma 90.00
_symmetry_space_group_name_H-M 'P 1'
_symmetry_Int_Tables_number 1
loop_
_symmetry_equiv_pos_as_xyz
'x,y,z'
loop_
_atom_site_label
_atom_site_type_symbol
_atom_site_fract_x
_atom_site_fract_y
_atom_site_fract_z
Ba1 Ba 0.0000 0.0000 0.0000
Pa1 Pa 0.0000 0.5000 0.0000
Tl1 Tl 0.5000 0.2466 0.5000
Tl2 Tl 0.5000 0.7534 0.5000
Br1 Br 0.2025 0.5000 0.3161
Br2 Br 0.2230 0.2825 0.8677
Br3 Br 0.2230 0.7175 0.8677
Br4 Br 0.2612 0.0000 0.3437
Br5 Br 0.7388 0.0000 0.6563
Br6 Br 0.7770 0.2825 0.1323
Br7 Br 0.7770 0.7175 0.1323
Br8 Br 0.7975 0.5000 0.6839
```

The 10 most intense peaks (2θ = 15–90°), by angle:
2θ 16.5, 5.375 Å, intensity 96.0
2θ 17.1, 5.189 Å, intensity 71.5
2θ 22.2, 4.008 Å, intensity 100.0
2θ 25.4, 3.507 Å, intensity 36.9
2θ 32.4, 2.767 Å, intensity 32.4
2θ 32.5, 2.752 Å, intensity 83.9
2θ 33.2, 2.700 Å, intensity 47.9
2θ 34.6, 2.595 Å, intensity 28.1
2θ 37.8, 2.378 Å, intensity 39.5
2θ 40.7, 2.218 Å, intensity 51.6



# Ba4PbBr3
Computed powder X-ray diffraction pattern, Cu Kα, 1.54184 Å. Input: a crystal structure in Alexandria, relaxed with GGA-PBE.
Intensities are scaled so that the largest is 100.

Cell and atoms:
```
data_Ba4PbBr3
_chemical_formula_sum 'Ba8 Pb2 Br6'
_cell_length_a 6.8928
_cell_length_b 6.8928
_cell_length_c 13.7736
_cell_angle_alpha 90.00
_cell_angle_beta 90.00
_cell_angle_gamma 90.00
_symmetry_space_group_name_H-M 'P 1'
_symmetry_Int_Tables_number 1
loop_
_symmetry_equiv_pos_as_xyz
'x,y,z'
loop_
_atom_site_label
_atom_site_type_symbol
_atom_site_fract_x
_atom_site_fract_y
_atom_site_fract_z
Ba1 Ba 0.0000 0.0000 0.2476
Ba2 Ba 0.0000 0.0000 0.7524
Ba3 Ba 0.0000 0.5000 0.0000
Ba4 Ba 0.0000 0.5000 0.5000
Ba5 Ba 0.5000 0.0000 0.0000
Ba6 Ba 0.5000 0.0000 0.5000
Ba7 Ba 0.5000 0.5000 0.2524
Ba8 Ba 0.5000 0.5000 0.7476
Pb1 Pb 0.0000 0.0000 0.0000
Pb2 Pb 0.5000 0.5000 0.5000
Br1 Br 0.0000 0.0000 0.5000
Br2 Br 0.0000 0.5000 0.2500
Br3 Br 0.0000 0.5000 0.7500
Br4 Br 0.5000 0.0000 0.2500
Br5 Br 0.5000 0.0000 0.7500
Br6 Br 0.5000 0.5000 0.0000
```

The 10 most intense peaks (2θ = 15–90°), by angle:
2θ 25.9, 3.445 Å, intensity 100.0
2θ 29.7, 3.008 Å, intensity 3.1
2θ 35.1, 2.559 Å, intensity 2.8
2θ 36.9, 2.436 Å, intensity 78.4
2θ 45.6, 1.989 Å, intensity 28.5
2θ 53.2, 1.723 Å, intensity 13.6
2θ 60.0, 1.541 Å, intensity 37.7
2θ 66.5, 1.407 Å, intensity 27.9
2θ 78.5, 1.218 Å, intensity 8.8
2θ 84.3, 1.148 Å, intensity 18.7



# BaTlSnPbBr
Computed powder X-ray diffraction pattern, Cu Kα, 1.54184 Å. Input: a crystal structure in Alexandria, relaxed with GGA-PBE.
Intensities are scaled so that the largest is 100.

Cell and atoms:
```
data_BaTlSnPbBr
_chemical_formula_sum 'Ba1 Tl1 Sn1 Pb1 Br1'
_cell_length_a 4.7389
_cell_length_b 4.7389
_cell_length_c 10.5554
_cell_angle_alpha 90.00
_cell_angle_beta 90.00
_cell_angle_gamma 120.00
_symmetry_space_group_name_H-M 'P 1'
_symmetry_Int_Tables_number 1
loop_
_symmetry_equiv_pos_as_xyz
'x,y,z'
loop_
_atom_site_label
_atom_site_type_symbol
_atom_site_fract_x
_atom_site_fract_y
_atom_site_fract_z
Ba1 Ba 0.0000 0.0000 0.0000
Tl1 Tl 0.6667 0.3333 0.4501
Sn1 Sn 0.0000 0.0000 0.6396
Pb1 Pb 0.6667 0.3333 0.7739
Br1 Br 0.3333 0.6667 0.1644
```

The 10 most intense peaks (2θ = 15–90°), by angle:
2θ 21.7, 4.104 Å, intensity 37.7
2θ 23.3, 3.825 Å, intensity 67.4
2θ 27.5, 3.240 Å, intensity 54.2
2θ 33.5, 2.671 Å, intensity 100.0
2θ 38.0, 2.369 Å, intensity 65.3
2θ 40.6, 2.220 Å, intensity 12.7
2θ 47.5, 1.913 Å, intensity 12.4
2θ 51.6, 1.773 Å, intensity 30.2
2θ 57.0, 1.617 Å, intensity 15.8
2θ 65.8, 1.419 Å, intensity 29.4